Theoretical powder XRD pattern of Ca2CrWO6 for Cu Kα (weighted mean of Kα1 and Kα2), from a structure optimized by DFT (PBE+U).

Cell and atoms:
Cell lengths 5.457, 5.580, 9.502 Å; angles 90.00, 124.36, 90.00 degrees
Space group P2_1/c (No. 14)
Asymmetric unit:
Ca (0.236, 0.048, 0.246)
Cr (0.000, 0.000, 0.500)
W (0.500, 0.000, 0.000)
O (0.154, 0.208, 0.952)
O (0.257, 0.713, 0.955)
O (0.338, 0.027, 0.748)

Peak list (6 most intense, 2θ from 10° to 80°, sorted by position)
4.547 Å, 19.5°, rel. 70, hkl 0 1 1
3.901 Å, 22.8°, rel. 94, hkl 1 1 -1
2.790 Å, 32.1°, rel. 49, hkl 0 2 0
2.778 Å, 32.2°, rel. 100, hkl 1 1 1
2.754 Å, 32.5°, rel. 100, hkl 1 1 -3
1.951 Å, 46.6°, rel. 57, hkl 2 2 -2

---

Theoretical powder XRD pattern of Ca2CrWO6 for Cu Kα (weighted mean of Kα1 and Kα2), from a structure optimized by DFT (PBE+U).

Cell and atoms:
Cell lengths 5.507, 5.529, 5.530 Å; angles 90.39, 119.32, 119.71 degrees
Space group P-1 (No. 2)
Asymmetric unit:
Ca (0.015, 0.247, 0.249)
Cr (0.500, 0.500, 0.000)
W (0.500, 0.000, 0.500)
O (0.000, 0.202, 0.807)
O (0.403, 0.751, 0.751)
O (0.498, 0.698, 0.306)

Peak list (6 most intense, 2θ from 10° to 80°, sorted by position)
4.543 Å, 19.5°, rel. 42, hkl 0 1 0
4.506 Å, 19.7°, rel. 42, hkl 1 0 -1
3.931 Å, 22.6°, rel. 58, hkl 1 0 0
3.896 Å, 22.8°, rel. 30, hkl -1 1 1
2.787 Å, 32.1°, rel. 67, hkl 1 -1 1
2.767 Å, 32.4°, rel. 100, hkl 1 -2 0

---

Theoretical powder XRD pattern of Ca2CrWO6 for Cu Kα (weighted mean of Kα1 and Kα2), from a structure optimized by DFT (PBE+U).

Cell and atoms:
Cell lengths 5.510, 5.519, 9.627 Å; angles 73.63, 74.05, 60.36 degrees
Space group P1 (No. 1)
Asymmetric unit:
Ca (0.000, 0.000, 0.000)
Ca (0.219, 0.245, 0.250)
Ca (0.498, 0.499, 0.502)
Ca (0.720, 0.746, 0.749)
Cr (0.109, 0.123, 0.626)
Cr (0.609, 0.623, 0.126)
W (0.358, 0.373, 0.876)
W (0.859, 0.873, 0.375)
O (0.016, 0.420, 0.032)
O (0.078, 0.498, 0.502)
O (0.139, 0.747, 0.750)
O (0.201, 0.827, 0.218)
O (0.255, 0.173, 0.780)
O (0.460, 0.575, 0.971)
O (0.513, 0.924, 0.531)
O (0.583, 0.997, 0.000)
O (0.633, 0.250, 0.252)
O (0.703, 0.320, 0.720)
O (0.757, 0.671, 0.280)
O (0.963, 0.072, 0.471)

Peak list (6 most intense, 2θ from 10° to 80°, sorted by position)
4.522 Å, 19.6°, rel. 57, hkl 0 1 1
3.942 Å, 22.6°, rel. 46, hkl 1 0 -1
3.894 Å, 22.8°, rel. 45, hkl 1 1 2
2.788 Å, 32.1°, rel. 100, hkl 1 1 -2
2.770 Å, 32.3°, rel. 100, hkl 1 -1 0
2.757 Å, 32.5°, rel. 90, hkl 1 2 1

---

Theoretical powder XRD pattern of Ca2YCrO5 for Cu Kα (weighted mean of Kα1 and Kα2), from a structure optimized by DFT (PBE+U).

Cell and atoms:
Cell lengths 15.994, 5.684, 5.459 Å; angles 90.00, 90.00, 90.00 degrees
Space group Ima2 (No. 46)
Asymmetric unit:
Ca (0.097, 0.027, 0.000)
Y (0.250, 0.545, 0.040)
Cr (0.000, 0.000, 0.484)
O (0.019, 0.743, 0.240)
O (0.127, 0.076, 0.462)
O (0.250, 0.580, 0.447)

Peak list (6 most intense, 2θ from 10° to 80°, sorted by position)
2.842 Å, 31.5°, rel. 42, hkl 0 2 0
2.805 Å, 31.9°, rel. 100, hkl 4 1 1
2.730 Å, 32.8°, rel. 46, hkl 0 0 2
1.969 Å, 46.1°, rel. 41, hkl 0 2 2
1.784 Å, 51.2°, rel. 28, hkl 3 3 0
1.634 Å, 56.3°, rel. 26, hkl 4 3 1

---

Theoretical powder XRD pattern of Cs2CaTm2W4O16 for Cu Kα (weighted mean of Kα1 and Kα2), from a structure optimized by DFT (PBE+U).

Cell and atoms:
Cell lengths 7.571, 7.932, 7.996 Å; angles 63.64, 62.88, 62.63 degrees
Space group P1 (No. 1)
Asymmetric unit:
Cs (0.000, 0.000, 0.000)
Cs (0.014, 0.464, 0.472)
Ca (0.719, 0.241, 0.260)
Tm (0.443, 0.565, 0.464)
Tm (0.453, 0.036, 0.053)
W (0.485, 0.554, 0.941)
W (0.489, 0.954, 0.569)
W (0.975, 0.549, 0.970)
W (0.997, 0.934, 0.565)
O (0.130, 0.278, 0.043)
O (0.133, 0.619, 0.679)
O (0.172, 0.612, 0.003)
O (0.184, 0.993, 0.620)
O (0.237, 0.871, 0.334)
O (0.435, 0.509, 0.218)
O (0.445, 0.210, 0.568)
O (0.445, 0.844, 0.880)
O (0.536, 0.665, 0.627)
O (0.540, 0.305, 0.923)
O (0.546, 0.017, 0.284)
O (0.761, 0.582, 0.207)
O (0.797, 0.477, 0.913)
O (0.811, 0.892, 0.489)
O (0.828, 0.865, 0.849)
O (0.851, 0.198, 0.490)

Peak list (6 most intense, 2θ from 10° to 80°, sorted by position)
3.398 Å, 26.2°, rel. 81, hkl 0 0 2
3.364 Å, 26.5°, rel. 81, hkl 0 2 0
3.189 Å, 28.0°, rel. 90, hkl 2 0 0
3.118 Å, 28.6°, rel. 80, hkl 2 2 2
2.850 Å, 31.4°, rel. 50, hkl 0 2 2
2.811 Å, 31.8°, rel. 100, hkl 2 2 0